Entry 1:
TlSb2Rh2: simulated X-ray diffraction stick pattern (copper Kα), based on a crystal structure in Alexandria, relaxed with PBE.
Intensities are scaled so that the largest is 100.

Structure:
Lattice parameters (Å, degrees): 4.652 4.652 10.661 90.00 90.00 90.00
Space group I4/mmm (No. 139)
Asymmetric unit:
Tl 0.000 0.000 0.000 [2 per cell]
Sb 0.000 0.500 0.250 [4 per cell]
Rh 0.000 0.000 0.372 [4 per cell]

Largest 6 diffraction maxima, most intense first, 2θ = 15–90°:
two_theta	Rel. int.
31.97	100
31.68	69
38.71	67
50.86	37
65.86	25
55.90	23

***

Entry 2:
K2Ag2BiS4: simulated X-ray diffraction stick pattern (copper Kα), based on a crystal structure in Alexandria, relaxed with PBE.
Intensities are scaled so that the largest is 100.

Structure:
Lattice parameters (Å, degrees): 15.537 4.088 7.719 90.00 111.01 90.00
Space group C2/m (No. 12)
Asymmetric unit:
K 0.132 0.000 0.056 [4 per cell]
Ag 0.184 0.500 0.487 [4 per cell]
Bi 0.000 0.000 0.500 [2 per cell]
S 0.015 0.500 0.255 [4 per cell]
S 0.197 0.000 0.695 [4 per cell]

Largest 6 diffraction maxima, most intense first, 2θ = 15–90°:
two_theta	Rel. int.
28.41	100
33.83	89
33.34	84
24.71	68
42.48	57
32.01	43

***

Entry 3:
MgTi2O4: simulated X-ray diffraction stick pattern (copper Kα), based on a crystal structure in Alexandria, relaxed with PBE.
Intensities are scaled so that the largest is 100.

Structure:
Lattice parameters (Å, degrees): 5.882 6.110 8.639 90.00 90.00 90.00
Space group Imma (No. 74)
Asymmetric unit:
Mg 0.000 0.000 0.000 [4 per cell]
Ti 0.000 0.250 0.378 [4 per cell]
Ti 0.250 0.250 0.750 [4 per cell]
O 0.000 0.002 0.753 [8 per cell]
O 0.242 0.250 0.990 [8 per cell]

Largest 6 diffraction maxima, most intense first, 2θ = 15–90°:
two_theta	Rel. int.
35.43	100
61.29	81
34.68	81
29.53	57
34.43	48
42.67	34

***

Entry 4:
Ba3Pu4O12: simulated X-ray diffraction stick pattern (copper Kα), based on a crystal structure in Alexandria, relaxed with PBE.
Intensities are scaled so that the largest is 100.

Structure:
Lattice parameters (Å, degrees): 8.685 8.685 8.685 90.00 90.00 90.00
Space group Im-3 (No. 204)
Asymmetric unit:
Ba 0.000 0.000 0.500 [6 per cell]
Pu 0.250 0.250 0.250 [8 per cell]
O 0.000 0.247 0.272 [24 per cell]

Largest 6 diffraction maxima, most intense first, 2θ = 15–90°:
two_theta	Rel. int.
29.08	100
51.55	43
41.60	28
20.45	27
83.26	23
68.31	19

***

Entry 5:
Mg2Be2CdPd5: simulated X-ray diffraction stick pattern (copper Kα), based on a crystal structure in Alexandria, relaxed with PBE.
Intensities are scaled so that the largest is 100.

Structure:
Lattice parameters (Å, degrees): 9.588 9.588 3.289 90.00 90.00 90.00
Space group P4/mbm (No. 127)
Asymmetric unit:
Mg 0.175 0.325 0.000 [4 per cell]
Be 0.123 0.623 0.000 [4 per cell]
Cd 0.000 0.000 0.000 [2 per cell]
Pd 0.000 0.500 0.500 [2 per cell]
Pd 0.073 0.782 0.500 [8 per cell]

Largest 6 diffraction maxima, most intense first, 2θ = 15–90°:
two_theta	Rel. int.
40.46	100
42.15	50
38.72	46
27.11	39
43.78	36
75.90	35

***

Entry 6:
Ac3La3Nd: simulated X-ray diffraction stick pattern (copper Kα), based on a crystal structure in Alexandria, relaxed with PBE.
Intensities are scaled so that the largest is 100.

Structure:
Lattice parameters (Å, degrees): 10.1558 10.1558 18.8582 90.00 90.00 120.00
Space group R-3 (No. 148, hexagonal axes)
Asymmetric unit:
Ac 0.0455 0.2412 0.4156 [18 per cell]
La 0.0500 0.2347 0.9164 [18 per cell]
Nd 0.0000 0.0000 0.2468 [6 per cell]

Largest 6 diffraction maxima, most intense first, 2θ = 15–90°:
two_theta	Rel. int.
28.45	100
32.97	51
47.32	38
56.12	34
56.20	12
88.12	10